Theoretical X-ray powder pattern
Compound: Y2BiSbPd2
Radiation: a wavelength of 1.5418 Å
Structure: a DFT-relaxed cell (GGA-PBE, OQMD)
No peak broadening, texture or thermal motion is included.

Largest 10 diffraction maxima, by intensity, 10° ≤ 2θ ≤ 90°:
d 2.354, 2θ 38.23, rel. 100.0
d 1.359, 2θ 69.11, rel. 34.4
d 3.844, 2θ 23.14, rel. 31.7
d 3.329, 2θ 26.78, rel. 20.7
d 1.665, 2θ 55.18, rel. 17.0
d 2.008, 2θ 45.17, rel. 16.3
d 1.177, 2θ 81.84, rel. 10.9
d 1.489, 2θ 62.37, rel. 8.0
d 1.527, 2θ 60.62, rel. 6.8
d 1.922, 2θ 47.29, rel. 6.0

abc: 11.5316 4.7084 11.5328
angles: 90.00 109.48 90.00
Space group Pm (No. 6)
Asymmetric unit:
Y (0.0000, 0.0000, 0.0000) [1 per cell]
Y (0.1219, 0.5000, 0.3748) [1 per cell]
Y (0.2459, 0.0000, 0.7472) [1 per cell]
Y (0.3752, 0.5000, 0.1287) [1 per cell]
Y (0.4996, 0.0000, 0.5002) [1 per cell]
Y (0.6246, 0.5000, 0.8723) [1 per cell]
Y (0.7486, 0.0000, 0.2524) [1 per cell]
Y (0.8724, 0.5000, 0.6237) [1 per cell]
Bi (0.1232, 0.5000, 0.8750) [1 per cell]
Bi (0.3734, 0.5000, 0.6238) [1 per cell]
Bi (0.4990, 0.0000, 0.0007) [1 per cell]
Bi (0.8735, 0.5000, 0.1253) [1 per cell]
Sb (0.2489, 0.0000, 0.2505) [1 per cell]
Sb (0.6237, 0.5000, 0.3754) [1 per cell]
Sb (0.7487, 0.0000, 0.7491) [1 per cell]
Sb (0.9977, 0.0000, 0.4993) [1 per cell]
Pd (0.1286, 0.5000, 0.1299) [1 per cell]
Pd (0.2438, 0.0000, 0.4946) [1 per cell]
Pd (0.3733, 0.5000, 0.8749) [1 per cell]
Pd (0.4992, 0.0000, 0.2553) [1 per cell]
Pd (0.6276, 0.5000, 0.6240) [1 per cell]
Pd (0.7492, 0.0000, 0.9952) [1 per cell]
Pd (0.8729, 0.5000, 0.3790) [1 per cell]
Pd (0.9932, 0.0000, 0.7449) [1 per cell]